The following is a theoretical powder diffraction line list of Nb3SiTe6. It was derived from the GGA-PBE geometry in the Materials Project, using Cu Kα (weighted mean of Kα1 and Kα2).
Lines closer than 0.1° are merged.

Peak list (8 most intense, 10° ≤ 2θ ≤ 90°, by angle)
2theta	d (Å)	intensity	h k l
11.8	7.470	77	0 2 0
23.8	3.735	27	0 4 0
27.5	3.241	29	1 1 3
32.4	2.763	100	1 3 3
33.2	2.698	39	2 3 0
36.2	2.481	28	1 4 3
40.6	2.221	53	1 5 3
48.6	1.873	32	3 0 3

Structure:
abc: 6.4185 14.9406 11.6384
angles: 90.00 90.00 90.00
Space group Pnma (No. 62)
Unique sites:
Nb: 0.0316 0.2500 0.1881
Nb: 0.1670 0.7500 0.3360
Nb: 0.1978 0.7500 0.0337
Si: 0.0754 0.7500 0.5748
Te: 0.1437 0.1280 0.9978
Te: 0.1510 0.1219 0.6832
Te: 0.2042 0.1246 0.3448

=====

The following is a theoretical powder diffraction line list of K3Tc2Cl8. It was derived from the GGA-PBE geometry in the Materials Project, using Cu Kα (weighted mean of Kα1 and Kα2).
Lines closer than 0.1° are merged.

Peak list (8 most intense, 10° ≤ 2θ ≤ 90°, by angle)
2theta	d (Å)	intensity	h k l
13.3	6.651	100	1 0 1
13.6	6.529	81	1 1 0
19.0	4.659	27	0 2 1
30.5	2.930	52	3 1 1
32.2	2.778	68	3 0 2
33.5	2.673	40	0 4 1
46.1	1.969	23	0 4 3
50.3	1.813	21	4 3 1

Structure:
abc: 13.0575 13.0575 8.2231
angles: 90.00 90.00 120.00
Space group P3_121 (No. 152)
Unique sites:
K: 0.0000 0.7058 0.1667
K: 0.1784 0.5124 0.7454
Tc: 0.0836 0.4421 0.2293
Cl: 0.0577 0.3117 0.4485
Cl: 0.0641 0.5633 0.4339
Cl: 0.1784 0.8030 0.7598
Cl: 0.2045 0.6262 0.0943

=====

The following is a theoretical powder diffraction line list of LiPr2Pa2O8. It was derived from the GGA-PBE geometry in the Materials Project, using Cu Kα (weighted mean of Kα1 and Kα2).
Lines closer than 0.1° are merged.

Peak list (8 most intense, 10° ≤ 2θ ≤ 90°, by angle)
2theta	d (Å)	intensity	h k l
17.4	5.100	36	1 1 -1
24.8	3.594	100	0 2 1
29.1	3.065	44	2 0 0
29.3	3.047	43	2 0 -2
31.2	2.866	43	2 2 -1
31.7	2.824	25	0 0 2
32.3	2.770	26	1 3 0
45.0	2.017	25	2 2 1

Structure:
abc: 7.2677 9.3200 6.6952
angles: 90.00 122.49 90.00
Space group C2 (No. 5)
Unique sites:
Li: 0.0000 0.0000 0.0000
Pr: 0.0000 0.5454 0.5000
Pr: 0.0000 0.7197 0.0000
Pa: 0.0000 0.3127 0.0000
Pa: 0.0000 0.9784 0.5000
O: 0.0596 0.1068 0.2606
O: 0.1223 0.7776 0.7361
O: 0.1498 0.5142 0.2509
O: 0.1997 0.3756 0.8267

=====

The following is a theoretical powder diffraction line list of TlCu5Se3. It was derived from the GGA-PBE geometry in the Materials Project, using Cu Kα (weighted mean of Kα1 and Kα2).
Lines closer than 0.1° are merged.

Peak list (8 most intense, 10° ≤ 2θ ≤ 90°, by angle)
2theta	d (Å)	intensity	h k l
27.6	3.231	89	4 0 0
29.9	2.987	91	2 2 1
31.5	2.839	72	3 1 1
36.6	2.455	100	4 1 1
41.8	2.163	61	5 0 1
46.0	1.974	58	0 0 2
49.9	1.828	59	5 5 0
50.3	1.815	71	6 2 1

Structure:
abc: 12.9244 12.9244 3.9478
angles: 90.00 90.00 90.00
Space group P4_2/mnm (No. 136)
Unique sites:
Tl: 0.1072 0.1072 0.0000
Cu: 0.0142 0.3971 0.0000
Cu: 0.0793 0.7128 0.5000
Cu: 0.1801 0.8199 0.0000
Se: 0.1011 0.8989 0.5000
Se: 0.1182 0.3250 0.5000

=====

Q: What is the formula in the first record?
A: Nb3SiTe6